[1]
For Li5Co5Sb2O12, the PBE+U geometry in the Materials Project gives the theoretical powder diffractogram in this record (Cu Kα).

Cell and atoms:
Cell: 5.311 5.311 10.051 Å, 95.78 95.78 120.45°
Element x y z (fractional)
Li 0.000 0.000 0.000
Li 0.251 0.246 0.754
Li 0.416 0.088 0.242
Li 0.754 0.749 0.246
Li 0.912 0.584 0.758
Co 0.090 0.415 0.249
Co 0.158 0.842 0.500
Co 0.492 0.508 0.500
Co 0.585 0.910 0.751
Co 0.669 0.331 0.000
Sb 0.337 0.663 0.000
Sb 0.825 0.175 0.500
O 0.065 0.699 0.119
O 0.090 0.124 0.381
O 0.182 0.539 0.617
O 0.301 0.935 0.881
O 0.381 0.398 0.119
O 0.461 0.818 0.383
O 0.555 0.209 0.621
O 0.602 0.619 0.881
O 0.694 0.028 0.118
O 0.791 0.445 0.379
O 0.876 0.910 0.619
O 0.972 0.306 0.882

The 12 most intense peaks (10° ≤ 2θ ≤ 90°), by angle:
- 18.03 deg, intensity 63.4
- 19.25 deg, intensity 46.7
- 23.12 deg, intensity 56.8
- 30.74 deg, intensity 24.1
- 34.23 deg, intensity 21.0
- 35.84 deg, intensity 17.7
- 36.11 deg, intensity 34.3
- 36.52 deg, intensity 16.7
- 41.62 deg, intensity 100.0
- 42.71 deg, intensity 42.8
- 60.70 deg, intensity 25.8
- 61.61 deg, intensity 24.7

[2]
For Li4Co3Sb5O16, the PBE+U geometry in the Materials Project gives the theoretical powder diffractogram in this record (Cu Kα).

Cell and atoms:
Cell: 6.201 10.456 10.762 Å, 89.73 89.73 89.76°
Element x y z (fractional)
Li 0.000 0.000 0.000
Li 0.000 0.379 0.329
Li 0.011 0.464 0.665
Li 0.017 0.859 0.337
Li 0.500 0.991 0.499
Li 0.502 0.379 0.840
Li 0.508 0.462 0.175
Li 0.521 0.858 0.844
Co 0.027 0.639 0.174
Co 0.261 0.153 0.749
Co 0.274 0.638 0.927
Co 0.527 0.645 0.671
Co 0.752 0.151 0.253
Co 0.771 0.645 0.427
Sb 0.010 0.154 0.501
Sb 0.034 0.380 0.013
Sb 0.041 0.841 0.679
Sb 0.262 0.150 0.251
Sb 0.278 0.642 0.426
Sb 0.516 0.156 0.008
Sb 0.532 0.391 0.513
Sb 0.538 0.842 0.179
Sb 0.770 0.156 0.753
Sb 0.778 0.631 0.926
O 0.005 0.059 0.828
O 0.009 0.499 0.860
O 0.013 0.729 0.004
O 0.020 0.047 0.335
O 0.020 0.269 0.172
O 0.034 0.553 0.345
O 0.040 0.755 0.502
O 0.226 0.263 0.400
O 0.240 0.057 0.584
O 0.242 0.504 0.081
O 0.268 0.057 0.086
O 0.274 0.751 0.267
O 0.280 0.272 0.925
O 0.286 0.525 0.578
O 0.290 0.757 0.765
O 0.494 0.262 0.167
O 0.496 0.048 0.323
O 0.510 0.521 0.357
O 0.510 0.747 0.503
O 0.525 0.264 0.703
O 0.526 0.054 0.848
O 0.532 0.549 0.844
O 0.545 0.742 0.004
O 0.741 0.055 0.088
O 0.745 0.517 0.581
O 0.756 0.272 0.923
O 0.767 0.057 0.591
O 0.782 0.745 0.771
O 0.788 0.757 0.261
O 0.793 0.501 0.076
O 0.795 0.261 0.410
O 0.999 0.263 0.662

The 12 most intense peaks (10° ≤ 2θ ≤ 90°), by angle:
- 16.96 deg, intensity 56.8
- 18.53 deg, intensity 100.0
- 23.66 deg, intensity 19.7
- 23.78 deg, intensity 35.3
- 30.62 deg, intensity 41.5
- 33.42 deg, intensity 20.3
- 33.58 deg, intensity 33.8
- 33.66 deg, intensity 22.5
- 34.34 deg, intensity 37.0
- 34.49 deg, intensity 56.3
- 42.54 deg, intensity 27.5
- 59.66 deg, intensity 24.7

[3]
For Li4Co3Sb5O16, the PBE+U geometry in the Materials Project gives the theoretical powder diffractogram in this record (Cu Kα).

Cell and atoms:
Cell: 6.217 6.217 10.389 Å, 90.41 90.41 59.73°
Element x y z (fractional)
Li 0.000 0.000 0.000
Li 0.011 0.011 0.520
Li 0.338 0.338 0.604
Li 0.680 0.680 0.126
Co 0.175 0.175 0.294
Co 0.333 0.826 0.784
Co 0.826 0.333 0.784
Sb 0.172 0.667 0.294
Sb 0.320 0.320 0.984
Sb 0.654 0.654 0.526
Sb 0.667 0.172 0.294
Sb 0.827 0.827 0.779
O 0.025 0.506 0.195
O 0.141 0.673 0.890
O 0.154 0.154 0.899
O 0.308 0.841 0.409
O 0.348 0.348 0.403
O 0.501 0.501 0.197
O 0.506 0.025 0.195
O 0.516 0.516 0.652
O 0.525 0.964 0.654
O 0.672 0.672 0.882
O 0.673 0.141 0.890
O 0.841 0.308 0.409
O 0.855 0.855 0.408
O 0.964 0.525 0.654
O 0.990 0.990 0.693
O 0.998 0.998 0.191

The 12 most intense peaks (10° ≤ 2θ ≤ 90°), by angle:
- 17.07 deg, intensity 66.5
- 18.53 deg, intensity 100.0
- 18.63 deg, intensity 38.0
- 23.76 deg, intensity 38.4
- 23.88 deg, intensity 27.9
- 30.79 deg, intensity 44.1
- 33.49 deg, intensity 28.5
- 33.70 deg, intensity 54.1
- 34.48 deg, intensity 66.9
- 34.54 deg, intensity 31.8
- 55.85 deg, intensity 27.7
- 59.47 deg, intensity 28.9

[4]
For Li4Co3Sb5O16, the PBE+U geometry in the Materials Project gives the theoretical powder diffractogram in this record (Cu Kα).

Cell and atoms:
Cell: 10.421 6.191 10.778 Å, 90.00 90.02 90.00°
Element x y z (fractional)
Li 0.000 0.000 0.000
Li 0.000 0.500 0.500
Li 0.132 0.500 0.176
Li 0.134 0.000 0.683
Li 0.523 0.000 0.341
Li 0.533 0.500 0.836
Li 0.609 0.500 0.155
Li 0.615 0.000 0.679
Co 0.346 0.254 0.598
Co 0.346 0.746 0.598
Co 0.353 0.246 0.100
Co 0.353 0.754 0.100
Co 0.835 0.000 0.509
Co 0.840 0.500 0.002
Sb 0.147 0.000 0.360
Sb 0.152 0.500 0.860
Sb 0.349 0.500 0.353
Sb 0.360 0.000 0.851
Sb 0.601 0.500 0.523
Sb 0.613 0.000 0.019
Sb 0.834 0.246 0.256
Sb 0.834 0.754 0.256
Sb 0.841 0.253 0.763
Sb 0.841 0.747 0.763
O 0.230 0.000 0.527
O 0.239 0.264 0.270
O 0.239 0.500 0.025
O 0.239 0.736 0.270
O 0.242 0.500 0.506
O 0.246 0.233 0.776
O 0.246 0.767 0.776
O 0.261 0.000 0.008
O 0.439 0.500 0.190
O 0.442 0.000 0.687
O 0.467 0.278 0.433
O 0.467 0.722 0.433
O 0.474 0.500 0.663
O 0.489 0.000 0.158
O 0.491 0.217 0.933
O 0.491 0.783 0.933
O 0.721 0.251 0.094
O 0.721 0.500 0.301
O 0.721 0.749 0.094
O 0.723 0.000 0.848
O 0.725 0.000 0.327
O 0.729 0.221 0.618
O 0.729 0.779 0.618
O 0.732 0.500 0.836
O 0.930 0.242 0.412
O 0.930 0.758 0.412
O 0.934 0.000 0.176
O 0.938 0.500 0.175
O 0.939 0.500 0.683
O 0.941 0.260 0.916
O 0.941 0.740 0.916
O 0.945 0.000 0.691

The 12 most intense peaks (10° ≤ 2θ ≤ 90°), by angle:
- 17.02 deg, intensity 49.7
- 18.57 deg, intensity 100.0
- 23.78 deg, intensity 48.0
- 30.65 deg, intensity 49.9
- 33.58 deg, intensity 40.0
- 33.68 deg, intensity 20.1
- 34.39 deg, intensity 40.0
- 34.51 deg, intensity 42.7
- 42.56 deg, intensity 27.5
- 52.11 deg, intensity 15.7
- 55.82 deg, intensity 41.5
- 59.50 deg, intensity 20.9

[5]
For Li5Co3Sb2O10, the PBE+U geometry in the Materials Project gives the theoretical powder diffractogram in this record (Cu Kα).

Cell and atoms:
Cell: 5.294 8.094 10.508 Å, 106.89 101.46 103.60°
Element x y z (fractional)
Li 0.000 0.000 0.000
Li 0.000 0.000 0.500
Li 0.493 0.697 0.308
Li 0.493 0.697 0.808
Li 0.494 0.894 0.081
Li 0.494 0.894 0.581
Li 0.506 0.106 0.419
Li 0.506 0.106 0.919
Li 0.507 0.303 0.192
Li 0.507 0.303 0.692
Co 0.004 0.408 0.090
Co 0.004 0.408 0.590
Co 0.500 0.500 0.000
Co 0.500 0.500 0.500
Co 0.996 0.592 0.410
Co 0.996 0.592 0.910
Sb 0.005 0.800 0.206
Sb 0.005 0.800 0.706
Sb 0.995 0.200 0.294
Sb 0.995 0.200 0.794
O 0.217 0.046 0.204
O 0.218 0.046 0.704
O 0.238 0.843 0.893
O 0.238 0.844 0.393
O 0.244 0.674 0.616
O 0.244 0.675 0.116
O 0.245 0.433 0.797
O 0.246 0.433 0.297
O 0.247 0.255 0.984
O 0.248 0.255 0.484
O 0.752 0.745 0.516
O 0.753 0.745 0.016
O 0.754 0.567 0.703
O 0.755 0.567 0.203
O 0.756 0.325 0.884
O 0.756 0.326 0.384
O 0.762 0.156 0.607
O 0.762 0.157 0.107
O 0.782 0.954 0.296
O 0.783 0.954 0.796

The 12 most intense peaks (10° ≤ 2θ ≤ 90°), by angle:
- 12.03 deg, intensity 11.1
- 18.03 deg, intensity 100.0
- 21.79 deg, intensity 20.4
- 25.29 deg, intensity 14.1
- 33.47 deg, intensity 11.7
- 34.67 deg, intensity 16.4
- 35.57 deg, intensity 10.8
- 36.28 deg, intensity 11.2
- 40.79 deg, intensity 31.3
- 42.20 deg, intensity 28.3
- 42.73 deg, intensity 26.5
- 59.74 deg, intensity 17.1

[6]
For Li5Co3Sb2O10, the PBE+U geometry in the Materials Project gives the theoretical powder diffractogram in this record (Cu Kα).

Cell and atoms:
Cell: 6.826 8.058 8.178 Å, 63.63 89.59 89.33°
Element x y z (fractional)
Li 0.000 0.000 0.000
Li 0.085 0.096 0.586
Li 0.201 0.711 0.692
Li 0.319 0.326 0.798
Li 0.407 0.425 0.382
Li 0.500 0.499 0.002
Li 0.585 0.598 0.587
Li 0.700 0.212 0.693
Li 0.817 0.826 0.796
Li 0.904 0.924 0.382
Co 0.105 0.602 0.090
Co 0.204 0.215 0.190
Co 0.297 0.820 0.294
Co 0.609 0.099 0.089
Co 0.702 0.724 0.190
Co 0.801 0.316 0.296
Sb 0.007 0.512 0.491
Sb 0.393 0.911 0.892
Sb 0.507 0.013 0.490
Sb 0.893 0.410 0.893
O 0.006 0.752 0.259
O 0.089 0.366 0.357
O 0.115 0.864 0.850
O 0.174 0.456 0.937
O 0.227 0.970 0.444
O 0.284 0.560 0.533
O 0.311 0.054 0.029
O 0.397 0.673 0.125
O 0.409 0.144 0.644
O 0.494 0.781 0.738
O 0.506 0.254 0.261
O 0.589 0.868 0.355
O 0.616 0.364 0.850
O 0.675 0.955 0.934
O 0.725 0.472 0.441
O 0.787 0.059 0.530
O 0.808 0.551 0.033
O 0.901 0.171 0.125
O 0.907 0.643 0.644
O 0.991 0.280 0.738

The 12 most intense peaks (10° ≤ 2θ ≤ 90°), by angle:
- 17.80 deg, intensity 49.6
- 17.97 deg, intensity 100.0
- 22.10 deg, intensity 28.0
- 25.53 deg, intensity 25.4
- 28.84 deg, intensity 17.4
- 33.98 deg, intensity 18.0
- 34.58 deg, intensity 24.8
- 35.61 deg, intensity 16.1
- 41.59 deg, intensity 45.5
- 41.68 deg, intensity 51.8
- 42.23 deg, intensity 42.7
- 60.85 deg, intensity 26.8

[7]
For Li4Co5Sb3O16, the PBE+U geometry in the Materials Project gives the theoretical powder diffractogram in this record (Cu Kα).

Cell and atoms:
Cell: 6.007 6.007 9.715 Å, 90.49 90.49 59.98°
Element x y z (fractional)
Li 0.000 0.000 0.000
Li 0.007 0.007 0.515
Li 0.319 0.319 0.627
Li 0.656 0.656 0.106
Co 0.154 0.154 0.288
Co 0.315 0.315 0.998
Co 0.324 0.817 0.791
Co 0.637 0.637 0.524
Co 0.817 0.324 0.791
Sb 0.152 0.648 0.290
Sb 0.648 0.152 0.290
Sb 0.817 0.817 0.790
O 0.018 0.476 0.169
O 0.146 0.146 0.890
O 0.148 0.673 0.901
O 0.304 0.819 0.402
O 0.327 0.327 0.408
O 0.473 0.473 0.170
O 0.476 0.018 0.169
O 0.496 0.949 0.672
O 0.506 0.506 0.685
O 0.649 0.649 0.896
O 0.673 0.148 0.901
O 0.819 0.304 0.402
O 0.828 0.828 0.408
O 0.949 0.496 0.672
O 0.979 0.979 0.183
O 0.991 0.991 0.696

The 12 most intense peaks (10° ≤ 2θ ≤ 90°), by angle:
- 18.26 deg, intensity 100.0
- 19.30 deg, intensity 61.8
- 19.41 deg, intensity 30.2
- 24.99 deg, intensity 20.7
- 25.18 deg, intensity 18.4
- 32.67 deg, intensity 21.0
- 34.48 deg, intensity 20.7
- 35.68 deg, intensity 39.5
- 35.80 deg, intensity 46.2
- 44.58 deg, intensity 23.6
- 44.80 deg, intensity 20.7
- 61.78 deg, intensity 37.4